The following is a calculated powder XRD pattern of TbDyP4Au2. It was derived from a PBE-relaxed structure, using λ = 1.5418 Å (Cu Kα).
Intensities are scaled so that the largest is 100.

```
8
Lattice="3.8958 0.0000 0.0000 0.0000 3.8958 0.0000 0.0000 0.0000 9.9883" Properties=species:S:1:pos:R:3 pbc="T T T"
Tb 0.0000 0.0000 0.0000
Dy 1.9479 1.9479 5.5258
P 0.0000 0.0000 4.6721
P 0.0000 1.9479 7.7496
P 1.9479 0.0000 7.7496
P 1.9479 1.9479 0.8678
Au 0.0000 1.9479 2.7695
Au 1.9479 0.0000 2.7695
```

Main lines, in order of rising 2θ (2θ = 10–90°):
| 2θ (°) | I_rel |
| --- | --- |
| 24.53 | 29 |
| 26.78 | 17 |
| 33.75 | 27 |
| 35.97 | 22 |
| 37.28 | 100 |
| 46.63 | 29 |
| 60.26 | 19 |
| 80.26 | 22 |

***

The following is a calculated powder XRD pattern of DyYPb2Au2. It was derived from a PBE-relaxed structure, using λ = 1.5418 Å (Cu Kα).
Intensities are scaled so that the largest is 100.

```
6
Lattice="4.7859 0.0000 0.0000 -2.3929 4.1447 0.0000 0.0000 0.0000 7.5562" Properties=species:S:1:pos:R:3 pbc="T T T"
Dy 0.0000 0.0000 0.0000
Y 0.0000 0.0000 3.7745
Pb 0.0000 2.7631 5.8354
Pb 2.3929 1.3816 2.0587
Au 0.0000 2.7631 1.2433
Au 2.3929 1.3816 5.0361
```

Main lines, in order of rising 2θ (2θ = 10–90°):
| 2θ (°) | I_rel |
| --- | --- |
| 24.50 | 31 |
| 32.06 | 85 |
| 37.59 | 100 |
| 41.97 | 47 |
| 50.21 | 24 |
| 57.60 | 19 |
| 64.38 | 23 |
| 70.84 | 21 |

***

The following is a calculated powder XRD pattern of PrDy2Si4Au4. It was derived from a PBE-relaxed structure, using λ = 1.5418 Å (Cu Kα).
Intensities are scaled so that the largest is 100.

```
11
Lattice="-2.0952 2.1254 12.5821 2.0952 -2.1254 12.5821 2.0952 2.1254 -12.5821" Properties=species:S:1:pos:R:3 pbc="T T T"
Pr 0.0000 0.0000 0.0000
Dy 2.0952 0.0000 8.8572
Dy 0.0000 2.1254 3.7250
Si 2.0952 0.0000 4.8056
Si 0.0000 0.0000 11.3862
Si 0.0000 0.0000 13.7781
Si 0.0000 2.1254 7.7765
Au 2.0952 0.0000 2.4117
Au 0.0000 0.0000 6.3424
Au 0.0000 0.0000 18.8219
Au 0.0000 2.1254 10.1705
```

Main lines, in order of rising 2θ (2θ = 10–90°):
| 2θ (°) | I_rel |
| --- | --- |
| 21.19 | 13 |
| 32.82 | 22 |
| 33.23 | 100 |
| 42.53 | 19 |
| 43.17 | 25 |
| 45.00 | 14 |
| 62.21 | 16 |
| 67.29 | 13 |

***

The following is a calculated powder XRD pattern of Pr2DyZn2Si4Au2. It was derived from a PBE-relaxed structure, using λ = 1.5418 Å (Cu Kα).
Intensities are scaled so that the largest is 100.

```
11
Lattice="-2.0766 2.1385 12.5401 2.0766 -2.1385 12.5401 2.0766 2.1385 -12.5401" Properties=species:S:1:pos:R:3 pbc="T T T"
Pr 0.0000 0.0000 3.6832
Pr 0.0000 0.0000 21.3970
Dy 0.0000 2.1385 0.0000
Zn 2.0766 0.0000 6.2563
Zn 0.0000 2.1385 6.2838
Si 2.0766 0.0000 1.1651
Si 0.0000 0.0000 7.7178
Si 0.0000 0.0000 17.3624
Si 0.0000 2.1385 11.3750
Au 0.0000 0.0000 10.2000
Au 0.0000 0.0000 14.8803
```

Main lines, in order of rising 2θ (2θ = 10–90°):
| 2θ (°) | I_rel |
| --- | --- |
| 21.07 | 17 |
| 27.89 | 23 |
| 33.02 | 39 |
| 33.29 | 100 |
| 42.26 | 22 |
| 43.58 | 20 |
| 45.06 | 23 |
| 54.65 | 18 |

***

The following is a calculated powder XRD pattern of PrDyZn2Au4. It was derived from a PBE-relaxed structure, using λ = 1.5418 Å (Cu Kα).
Intensities are scaled so that the largest is 100.

```
8
Lattice="4.9087 0.0000 0.0000 0.0000 4.9087 0.0000 0.0000 0.0000 6.9388" Properties=species:S:1:pos:R:3 pbc="T T T"
Pr 0.0000 0.0000 0.0000
Dy 2.4544 2.4544 3.4694
Zn 0.0000 0.0000 3.4694
Zn 2.4544 2.4544 0.0000
Au 0.0000 2.4544 1.8269
Au 0.0000 2.4544 5.1119
Au 2.4544 0.0000 1.8269
Au 2.4544 0.0000 5.1119
```

Main lines, in order of rising 2θ (2θ = 10–90°):
| 2θ (°) | I_rel |
| --- | --- |
| 22.18 | 4 |
| 25.67 | 9 |
| 36.62 | 100 |
| 52.75 | 17 |
| 59.56 | 4 |
| 65.93 | 35 |
| 77.85 | 11 |
| 89.25 | 16 |

***

The following is a calculated powder XRD pattern of DyPt2Au2. It was derived from a PBE-relaxed structure, using λ = 1.5418 Å (Cu Kα).
Intensities are scaled so that the largest is 100.

```
10
Lattice="4.0969 0.0000 0.0000 0.0000 4.0969 0.0000 0.0000 0.0000 11.7974" Properties=species:S:1:pos:R:3 pbc="T T T"
Dy 1.0242 1.0242 2.9061
Dy 3.0727 3.0727 8.8913
Pt 1.0242 1.0242 7.6255
Pt 1.0242 3.0727 0.0000
Pt 3.0727 1.0242 0.0000
Pt 3.0727 3.0727 4.1719
Au 1.0242 1.0242 10.0988
Au 1.0242 3.0727 5.8987
Au 3.0727 1.0242 5.8987
Au 3.0727 3.0727 1.6986
```

Main lines, in order of rising 2θ (2θ = 10–90°):
| 2θ (°) | I_rel |
| --- | --- |
| 22.98 | 14 |
| 31.53 | 30 |
| 34.49 | 100 |
| 43.80 | 41 |
| 44.25 | 89 |
| 64.35 | 41 |
| 75.07 | 22 |
| 89.75 | 15 |

***

The following is a calculated powder XRD pattern of DySnAuSeS2. It was derived from a PBE-relaxed structure, using λ = 1.5418 Å (Cu Kα).
Intensities are scaled so that the largest is 100.

```
12
Lattice="2.0630 -7.1834 0.0000 2.0630 7.1834 0.0000 0.0000 0.0000 10.4860" Properties=species:S:1:pos:R:3 pbc="T T T"
Dy 0.0000 0.0000 0.0000
Dy 0.0000 0.0000 5.2430
Sn 2.0630 2.9253 7.8645
Sn 2.0630 -2.9253 2.6215
Au 2.0630 2.0469 2.6215
Au 2.0630 -2.0469 7.8645
Se 2.0630 6.1611 2.6215
Se 2.0630 -6.1611 7.8645
S 2.0630 1.8345 0.2694
S 2.0630 1.8345 4.9736
S 2.0630 -1.8345 5.5124
S 2.0630 -1.8345 10.2166
```

Main lines, in order of rising 2θ (2θ = 10–90°):
| 2θ (°) | I_rel |
| --- | --- |
| 20.98 | 54 |
| 28.21 | 33 |
| 28.56 | 100 |
| 29.83 | 45 |
| 34.20 | 48 |
| 38.60 | 37 |
| 42.01 | 30 |
| 45.14 | 55 |

***

The following is a calculated powder XRD pattern of SrDyAuSeS2. It was derived from a PBE-relaxed structure, using λ = 1.5418 Å (Cu Kα).
Intensities are scaled so that the largest is 100.

```
12
Lattice="2.0182 -6.8429 0.0000 2.0182 6.8429 0.0000 0.0000 0.0000 10.6054" Properties=species:S:1:pos:R:3 pbc="T T T"
Sr 2.0182 3.6471 7.9540
Sr 2.0182 -3.6471 2.6513
Dy 0.0000 0.0000 0.0000
Dy 0.0000 0.0000 5.3027
Au 2.0182 0.4650 2.6513
Au 2.0182 -0.4650 7.9540
Se 2.0182 5.5380 2.6513
Se 2.0182 -5.5380 7.9540
S 2.0182 1.8526 0.5981
S 2.0182 1.8526 4.7046
S 2.0182 -1.8526 5.9008
S 2.0182 -1.8526 10.0072
```

Main lines, in order of rising 2θ (2θ = 10–90°):
| 2θ (°) | I_rel |
| --- | --- |
| 12.94 | 100 |
| 28.55 | 52 |
| 30.76 | 62 |
| 33.81 | 41 |
| 34.14 | 91 |
| 43.44 | 28 |
| 52.71 | 27 |
| 57.35 | 29 |

***

The following is a calculated powder XRD pattern of DySc2Si4Au4. It was derived from a PBE-relaxed structure, using λ = 1.5418 Å (Cu Kα).
Intensities are scaled so that the largest is 100.

```
11
Lattice="-2.0637 3.4707 6.9512 2.0637 -3.4707 6.9512 2.0637 3.4707 -6.9512" Properties=species:S:1:pos:R:3 pbc="T T T"
Dy 0.0000 0.0000 0.0000
Sc 2.0637 0.0000 5.2770
Sc 0.0000 3.4707 1.6742
Si 0.0000 0.0000 3.0610
Si 2.0637 2.2746 0.0000
Si 0.0000 1.1961 6.9512
Si 0.0000 0.0000 10.8414
Au 2.0637 1.4171 -2.3067
Au 2.0637 1.4171 2.3067
Au 0.0000 2.0537 4.6445
Au 0.0000 2.0537 9.2578
```

Main lines, in order of rising 2θ (2θ = 10–90°):
| 2θ (°) | I_rel |
| --- | --- |
| 14.26 | 28 |
| 28.97 | 100 |
| 34.37 | 73 |
| 36.18 | 33 |
| 38.87 | 34 |
| 39.08 | 51 |
| 43.73 | 37 |
| 43.87 | 34 |

***

The following is a calculated powder XRD pattern of DySnAuSe3. It was derived from a PBE-relaxed structure, using λ = 1.5418 Å (Cu Kα).
Intensities are scaled so that the largest is 100.

```
24
Lattice="10.0813 0.0000 0.0000 0.0000 4.1983 0.0000 0.0000 0.0000 15.4444" Properties=species:S:1:pos:R:3 pbc="T T T"
Dy 1.7947 1.0496 0.3296
Dy 3.2460 3.1488 8.0518
Dy 6.8353 1.0496 7.3926
Dy 8.2866 3.1488 15.1148
Sn 0.3223 3.1488 4.4772
Sn 4.7183 1.0496 12.1994
Sn 5.3630 3.1488 3.2449
Sn 9.7590 1.0496 10.9671
Au 2.4158 1.0496 5.0735
Au 2.6248 3.1488 12.7956
Au 7.4565 1.0496 2.6487
Au 7.6655 3.1488 10.3709
Se 0.2426 3.1488 1.6449
Se 1.4907 1.0496 7.3621
Se 1.5814 3.1488 10.5706
Se 3.4592 1.0496 2.8484
Se 3.5499 3.1488 15.0843
Se 4.7981 1.0496 9.3671
Se 5.2832 3.1488 6.0772
Se 6.5314 1.0496 0.3601
Se 6.6221 3.1488 12.5959
Se 8.4999 1.0496 4.8738
Se 8.5906 3.1488 8.0823
Se 9.8387 1.0496 13.7994
```

Main lines, in order of rising 2θ (2θ = 10–90°):
| 2θ (°) | I_rel |
| --- | --- |
| 24.70 | 20 |
| 28.26 | 100 |
| 28.83 | 26 |
| 30.02 | 44 |
| 38.51 | 28 |
| 39.30 | 19 |
| 43.09 | 30 |
| 46.51 | 30 |

***

The following is a calculated powder XRD pattern of Sm2DyZn2Si4Au2. It was derived from a PBE-relaxed structure, using λ = 1.5418 Å (Cu Kα).
Intensities are scaled so that the largest is 100.

```
11
Lattice="-2.0869 2.1008 12.3224 2.0869 -2.1008 12.3224 2.0869 2.1008 -12.3224" Properties=species:S:1:pos:R:3 pbc="T T T"
Sm 0.0000 0.0000 3.5486
Sm 0.0000 0.0000 21.0962
Dy 0.0000 2.1008 0.0000
Zn 0.0000 0.0000 10.0256
Zn 0.0000 0.0000 14.6192
Si 2.0869 0.0000 1.1640
Si 0.0000 0.0000 7.6622
Si 0.0000 0.0000 16.9826
Si 0.0000 2.1008 11.1584
Au 2.0869 0.0000 6.1290
Au 0.0000 2.1008 6.1934
```

Main lines, in order of rising 2θ (2θ = 10–90°):
| 2θ (°) | I_rel |
| --- | --- |
| 23.79 | 14 |
| 28.98 | 16 |
| 33.28 | 24 |
| 33.58 | 100 |
| 43.06 | 18 |
| 43.36 | 17 |
| 45.91 | 14 |
| 62.76 | 11 |

***

The following is a calculated powder XRD pattern of Tb2DySi4Au4. It was derived from a PBE-relaxed structure, using λ = 1.5418 Å (Cu Kα).
Intensities are scaled so that the largest is 100.

```
11
Lattice="-2.0649 2.1215 12.5479 2.0649 -2.1215 12.5479 2.0649 2.1215 -12.5479" Properties=species:S:1:pos:R:3 pbc="T T T"
Tb 0.0000 0.0000 3.7037
Tb 0.0000 0.0000 21.3921
Dy 0.0000 2.1215 0.0000
Si 2.0649 0.0000 1.1714
Si 0.0000 0.0000 7.7917
Si 0.0000 0.0000 17.3042
Si 0.0000 2.1215 11.3766
Au 2.0649 0.0000 6.2184
Au 0.0000 0.0000 10.2027
Au 0.0000 0.0000 14.8932
Au 0.0000 2.1215 6.3295
```

Main lines, in order of rising 2θ (2θ = 10–90°):
| 2θ (°) | I_rel |
| --- | --- |
| 21.24 | 15 |
| 33.09 | 25 |
| 33.48 | 100 |
| 42.62 | 20 |
| 43.84 | 18 |
| 45.12 | 16 |
| 62.80 | 13 |
| 67.60 | 13 |